(1)
Diffraction record for Dy5Y4Tl2. The XRD peak list is computed, not measured: it uses the PBE geometry in Alexandria and Cu Kα.
Kinematic intensities with the Lorentz-polarization factor, no thermal factor.

The 6 most intense peaks (2θ from 15° to 90°), in order of falling intensity:
2θ/deg, d_spacing, I_rel
31.5, 2.840, 100
34.5, 2.603, 94
47.4, 1.919, 32
59.9, 1.544, 32
61.7, 1.503, 17
33.0, 2.712, 17

Atomic structure:
```
Dy5Y4Tl2
1.0
2.6027 1.5027 15.8447
-2.6027 1.5027 15.8447
0.0000 -3.0054 15.8447
Dy Y Tl
5 4 2
direct
0.0000 0.0000 0.0000 Dy
0.1483 0.1483 0.1483 Dy
0.3016 0.3016 0.3016 Dy
0.6984 0.6984 0.6984 Dy
0.8517 0.8517 0.8517 Dy
0.0731 0.0731 0.0731 Y
0.2246 0.2246 0.2246 Y
0.7754 0.7754 0.7754 Y
0.9269 0.9269 0.9269 Y
0.3799 0.3799 0.3799 Tl
0.6201 0.6201 0.6201 Tl
```

---

(2)
Diffraction record for MgAlP. The XRD peak list is computed, not measured: it uses the PBE geometry in Alexandria and Cu Kα.
Kinematic intensities with the Lorentz-polarization factor, no thermal factor.

The 6 most intense peaks (2θ from 15° to 90°), in order of falling intensity:
2θ/deg, d_spacing, I_rel
35.9, 2.501, 100
41.7, 2.168, 89
48.5, 1.875, 55
35.8, 2.509, 48
61.8, 1.502, 37
82.3, 1.172, 33

Atomic structure:
```
MgAlP
1.0
3.7507 0.0000 0.0000
0.0000 3.7507 0.0000
0.0000 0.0000 7.5274
Mg Al P
2 2 2
direct
0.2500 0.2500 0.1410 Mg
0.7500 0.7500 0.8590 Mg
0.2500 0.7500 0.5000 Al
0.7500 0.2500 0.5000 Al
0.2500 0.2500 0.7871 P
0.7500 0.7500 0.2129 P
```

---

(3)
Diffraction record for ErTm2PuO8. The XRD peak list is computed, not measured: it uses the PBE geometry in Alexandria and Cu Kα.
Kinematic intensities with the Lorentz-polarization factor, no thermal factor.

The 6 most intense peaks (2θ from 15° to 90°), in order of falling intensity:
2θ/deg, d_spacing, I_rel
31.5, 2.839, 100
24.8, 3.588, 56
25.2, 3.530, 52
48.1, 1.892, 39
48.6, 1.875, 37
35.7, 2.516, 31

Atomic structure:
```
ErTm2PuO8
1.0
3.5301 -3.5879 0.0000
3.5301 3.5879 0.0000
0.0000 0.0000 6.8775
Er Tm Pu O
1 2 1 8
direct
0.0000 0.0000 0.0000 Er
0.5000 0.5000 0.2392 Tm
0.5000 0.5000 0.7608 Tm
0.0000 0.0000 0.5000 Pu
0.1858 0.8142 0.2760 O
0.1858 0.8142 0.7240 O
0.2834 0.2834 0.5000 O
0.3081 0.3081 0.0000 O
0.6919 0.6919 0.0000 O
0.7166 0.7166 0.5000 O
0.8142 0.1858 0.2760 O
0.8142 0.1858 0.7240 O
```

---

Q: Number 2 is which compound?
A: MgAlP